# LaAlCu4
Calculated PXRD pattern, a wavelength of 1.5418 Å. Input: a structure optimized by DFT (PBE).
Kinematic intensities with the Lorentz-polarization factor, no thermal factor.

Largest 10 diffraction maxima, sorted by position, 2θ = 10–90°:
d_spacing  2θ/deg  intensity  hkl
3.033  29.4  684  1 0 1
2.667  33.6  248  1 1 0
2.310  39.0  548  2 0 0
2.223  40.6  1000  1 1 1
2.011  45.1  260  0 0 2
1.601  57.6  205  2 1 1
1.516  61.1  277  2 0 2
1.438  64.8  238  3 0 1
1.333  70.6  190  2 2 0
1.111  87.9  210  2 2 2

```
LaAlCu4
1.0
5.3337 0.0000 0.0000
-2.6669 4.6191 0.0000
0.0000 0.0000 4.0213
La Al Cu
1 1 4
Direct
0.0000 0.0000 0.0000 La
0.6667 0.3333 0.0000 Al
0.0022 0.5011 0.5000 Cu
0.3333 0.6667 0.0000 Cu
0.4989 0.5011 0.5000 Cu
0.4989 0.9978 0.5000 Cu
```